Tb3Mg2Sb3O14: theoretical powder diffractogram (Cu Kα (λ = 1.5418 Å)), based on a PBE-relaxed structure.
Lines closer than 0.1° are merged.

Atomic structure:
Lattice parameters (Å, degrees): 7.143 7.143 7.143 61.74 61.74 61.74
Atoms (fractional coordinates):
Tb  0.000  0.500  0.500
Tb  0.500  0.000  0.500
Tb  0.500  0.500  0.000
Mg  0.000  0.000  0.000
Mg  0.500  0.500  0.500
Sb  0.000  0.000  0.500
Sb  0.000  0.500  0.000
Sb  0.500  0.000  0.000
O  0.085  0.673  0.673
O  0.090  0.090  0.655
O  0.090  0.655  0.090
O  0.327  0.327  0.915
O  0.327  0.915  0.327
O  0.345  0.910  0.910
O  0.384  0.384  0.384
O  0.616  0.616  0.616
O  0.655  0.090  0.090
O  0.673  0.085  0.673
O  0.673  0.673  0.085
O  0.910  0.345  0.910
O  0.910  0.910  0.345
O  0.915  0.327  0.327

Peak list (8 most intense, 2θ = 5–70°, by intensity)
2θ 30.0, rel. 100; 2θ 35.1, rel. 40; 2θ 49.8, rel. 34; 2θ 31.1, rel. 31; 2θ 51.2, rel. 30; 2θ 59.8, rel. 27; 2θ 17.3, rel. 24; 2θ 59.2, rel. 15


MgTcO4: theoretical powder diffractogram (Cu Kα (λ = 1.5418 Å)), based on a PBE-relaxed structure.
Lines closer than 0.1° are merged.

Atomic structure:
Lattice parameters (Å, degrees): 4.626 5.600 4.992 90.00 91.55 90.00
Atoms (fractional coordinates):
Mg  0.000  0.171  0.250
Mg  0.000  0.829  0.750
Tc  0.500  0.325  0.750
Tc  0.500  0.675  0.250
O  0.234  0.122  0.606
O  0.234  0.878  0.106
O  0.285  0.394  0.064
O  0.285  0.606  0.564
O  0.715  0.394  0.436
O  0.715  0.606  0.936
O  0.766  0.122  0.894
O  0.766  0.878  0.394

Peak list (8 most intense, 2θ = 5–70°, by intensity)
2θ 30.5, rel. 100; 2θ 31.1, rel. 96; 2θ 23.9, rel. 86; 2θ 19.2, rel. 84; 2θ 25.0, rel. 64; 2θ 42.1, rel. 43; 2θ 65.3, rel. 32; 2θ 40.6, rel. 30


Tm2MgO4: theoretical powder diffractogram (Cu Kα (λ = 1.5418 Å)), based on a PBE-relaxed structure.
Lines closer than 0.1° are merged.

Atomic structure:
Lattice parameters (Å, degrees): 6.461 6.461 6.461 60.00 60.00 60.00
Atoms (fractional coordinates):
Tm  0.000  0.000  0.000
Tm  0.000  0.000  0.500
Tm  0.000  0.500  0.000
Tm  0.500  0.000  0.000
Mg  0.375  0.375  0.375
Mg  0.625  0.625  0.625
O  0.233  0.756  0.756
O  0.244  0.244  0.244
O  0.244  0.244  0.767
O  0.244  0.767  0.244
O  0.756  0.233  0.756
O  0.756  0.756  0.233
O  0.756  0.756  0.756
O  0.767  0.244  0.244

Peak list (8 most intense, 2θ = 5–70°, by intensity)
2θ 16.8, rel. 100; 2θ 32.5, rel. 89; 2θ 34.0, rel. 55; 2θ 39.4, rel. 54; 2θ 57.0, rel. 45; 2θ 52.0, rel. 33; 2θ 68.1, rel. 26; 2θ 43.2, rel. 25


MgZn16O16: theoretical powder diffractogram (Cu Kα (λ = 1.5418 Å)), based on a PBE-relaxed structure.
Lines closer than 0.1° are merged.

Atomic structure:
Lattice parameters (Å, degrees): 6.600 6.600 10.639 90.00 90.00 120.00
Atoms (fractional coordinates):
Mg  0.000  0.000  0.000
Zn  0.167  0.333  0.601
Zn  0.167  0.833  0.601
Zn  0.186  0.372  0.116
Zn  0.186  0.814  0.116
Zn  0.329  0.165  0.346
Zn  0.333  0.667  0.383
Zn  0.333  0.667  0.856
Zn  0.353  0.177  0.835
Zn  0.628  0.814  0.116
Zn  0.667  0.333  0.099
Zn  0.667  0.333  0.584
Zn  0.667  0.833  0.601
Zn  0.823  0.177  0.835
Zn  0.823  0.647  0.835
Zn  0.835  0.165  0.346
Zn  0.835  0.671  0.346
O  0.158  0.316  0.916
O  0.158  0.842  0.916
O  0.163  0.325  0.412
O  0.163  0.837  0.412
O  0.320  0.160  0.150
O  0.333  0.667  0.195
O  0.333  0.667  0.667
O  0.339  0.169  0.653
O  0.667  0.333  0.396
O  0.667  0.333  0.910
O  0.675  0.837  0.412
O  0.684  0.842  0.916
O  0.831  0.169  0.653
O  0.831  0.661  0.653
O  0.840  0.160  0.150
O  0.840  0.680  0.150

Peak list (8 most intense, 2θ = 5–70°, by intensity)
2θ 35.7, rel. 100; 2θ 31.3, rel. 49; 2θ 33.7, rel. 36; 2θ 55.7, rel. 36; 2θ 61.5, rel. 28; 2θ 66.7, rel. 24; 2θ 46.7, rel. 24; 2θ 67.9, rel. 14